Record 1
Simulated powder X-ray diffraction pattern of Cs2CdNiCl6 for Cu Ka, from DFT lattice parameters and positions (GGA-PBE).
Peak positions follow from Bragg's law for the DFT cell and can differ from measured ones.

Peak list (10 most intense, 10° ≤ 2θ ≤ 90°, most intense first)
2θ (°)  I/Imax
24.2  100
32.9  78
22.0  58
49.5  42
30.6  32
37.4  27
28.2  22
42.5  22
51.3  20
45.1  18

Cell and atoms:
Unit cell a=12.8865 b=12.8865 c=12.8865 alpha=33.23 beta=33.23 gamma=33.23
Sites, in units of the cell vectors:
Cs (0.1257, 0.1257, 0.1257)
Cs (0.2905, 0.2905, 0.2905)
Cs (0.7095, 0.7095, 0.7095)
Cs (0.8743, 0.8743, 0.8743)
Cd (0.4107, 0.4107, 0.4107)
Cd (0.5893, 0.5893, 0.5893)
Ni (0.0000, 0.0000, 0.0000)
Ni (0.5000, 0.5000, 0.5000)
Cl (0.1537, 0.6136, 0.6136)
Cl (0.1959, 0.1959, 0.7248)
Cl (0.1959, 0.7248, 0.1959)
Cl (0.2752, 0.8041, 0.8041)
Cl (0.3864, 0.3864, 0.8463)
Cl (0.3864, 0.8463, 0.3864)
Cl (0.6136, 0.1537, 0.6136)
Cl (0.6136, 0.6136, 0.1537)
Cl (0.7248, 0.1959, 0.1959)
Cl (0.8041, 0.2752, 0.8041)
Cl (0.8041, 0.8041, 0.2752)
Cl (0.8463, 0.3864, 0.3864)

---

Record 2
Simulated powder X-ray diffraction pattern of Pm4Y2Tm3 for Cu Ka, from DFT lattice parameters and positions (GGA-PBE).
Peak positions follow from Bragg's law for the DFT cell and can differ from measured ones.

Peak list (10 most intense, 10° ≤ 2θ ≤ 90°, most intense first)
2θ (°)  I/Imax
30.9  100
31.6  90
32.0  78
33.7  77
34.8  65
29.9  65
61.4  52
27.4  42
52.6  37
56.1  34

Cell and atoms:
Unit cell a=10.0118 b=10.0118 c=8.6000 alpha=98.60 beta=98.60 gamma=20.38
Sites, in units of the cell vectors:
Pm (0.0474, 0.0474, 0.1869)
Pm (0.2195, 0.2195, 0.1504)
Pm (0.7805, 0.7805, 0.8496)
Pm (0.9526, 0.9526, 0.8131)
Y (0.1672, 0.1672, 0.5453)
Y (0.8328, 0.8328, 0.4547)
Tm (0.3935, 0.3935, 0.1424)
Tm (0.5000, 0.5000, 0.5000)
Tm (0.6065, 0.6065, 0.8576)

---

Record 3
Simulated powder X-ray diffraction pattern of Hf6GeP for Cu Ka, from DFT lattice parameters and positions (GGA-PBE).
Peak positions follow from Bragg's law for the DFT cell and can differ from measured ones.

Peak list (10 most intense, 10° ≤ 2θ ≤ 90°, most intense first)
2θ (°)  I/Imax
33.6  100
44.0  23
31.9  22
58.0  21
52.3  20
62.6  15
29.5  14
63.6  12
89.7  9
86.7  9

Cell and atoms:
Unit cell a=6.0615 b=6.0631 c=6.6048 alpha=90.05 beta=117.28 gamma=119.97
Sites, in units of the cell vectors:
Hf (0.0148, 0.0603, 0.2562)
Hf (0.3016, 0.7413, 0.2561)
Hf (0.3037, 0.5450, 0.7439)
Hf (0.6963, 0.4550, 0.2561)
Hf (0.6984, 0.2587, 0.7439)
Hf (0.9852, 0.9397, 0.7438)
Ge (0.5000, 0.0000, 0.0000)
P (0.5000, 0.5000, 0.5000)

---

Record 4
Simulated powder X-ray diffraction pattern of Pr3DyAl8 for Cu Ka, from DFT lattice parameters and positions (GGA-PBE).
Peak positions follow from Bragg's law for the DFT cell and can differ from measured ones.

Peak list (10 most intense, 10° ≤ 2θ ≤ 90°, most intense first)
2θ (°)  I/Imax
37.1  100
31.5  98
19.1  59
56.1  29
59.9  25
65.7  11
65.9  11
56.0  10
78.1  9
59.8  8

Cell and atoms:
Unit cell a=9.8539 b=9.8539 c=9.8539 alpha=33.46 beta=33.46 gamma=33.46
Sites, in units of the cell vectors:
Pr (0.0000, 0.0000, 0.0000)
Pr (0.1253, 0.1253, 0.1253)
Pr (0.5002, 0.5002, 0.5002)
Dy (0.6246, 0.6246, 0.6246)
Al (0.0606, 0.5620, 0.5620)
Al (0.0633, 0.0633, 0.5641)
Al (0.0633, 0.5641, 0.0633)
Al (0.3122, 0.3122, 0.3122)
Al (0.5620, 0.0606, 0.5620)
Al (0.5620, 0.5620, 0.0606)
Al (0.5641, 0.0633, 0.0633)
Al (0.8129, 0.8129, 0.8129)

---

Repeat the fourth record exactly.
Simulated powder X-ray diffraction pattern of Pr3DyAl8 for Cu Ka, from DFT lattice parameters and positions (GGA-PBE).
Peak positions follow from Bragg's law for the DFT cell and can differ from measured ones.

Peak list (10 most intense, 10° ≤ 2θ ≤ 90°, most intense first)
2θ (°)  I/Imax
37.1  100
31.5  98
19.1  59
56.1  29
59.9  25
65.7  11
65.9  11
56.0  10
78.1  9
59.8  8

Cell and atoms:
Unit cell a=9.8539 b=9.8539 c=9.8539 alpha=33.46 beta=33.46 gamma=33.46
Sites, in units of the cell vectors:
Pr (0.0000, 0.0000, 0.0000)
Pr (0.1253, 0.1253, 0.1253)
Pr (0.5002, 0.5002, 0.5002)
Dy (0.6246, 0.6246, 0.6246)
Al (0.0606, 0.5620, 0.5620)
Al (0.0633, 0.0633, 0.5641)
Al (0.0633, 0.5641, 0.0633)
Al (0.3122, 0.3122, 0.3122)
Al (0.5620, 0.0606, 0.5620)
Al (0.5620, 0.5620, 0.0606)
Al (0.5641, 0.0633, 0.0633)
Al (0.8129, 0.8129, 0.8129)